Structure and simulated X-ray diffraction stick pattern of Li2VCrP2H2O10 (the PBE+U geometry in Alexandria; a wavelength of 1.5418 Å).
No peak broadening, texture or thermal motion is included.

Structure:
a b c (Å): 5.1657 7.3735 10.6453
angles (deg): 104.43 96.92 108.77
Space group P-1 (No. 2)
One atom of each set of equivalent atoms:
1 Li 0.0461 0.1292 0.3033 [2 per cell]
2 Li 0.4518 0.3728 0.1975 [2 per cell]
3 V 0.0000 0.0000 0.0000 [1 per cell]
4 V 0.5000 0.0000 0.5000 [1 per cell]
5 Cr 0.0000 0.5000 0.0000 [1 per cell]
6 Cr 0.5000 0.5000 0.5000 [1 per cell]
7 P 0.0062 0.4509 0.6803 [2 per cell]
8 P 0.4989 0.0525 0.8200 [2 per cell]
9 H 0.1707 0.1933 0.5319 [2 per cell]
10 H 0.3294 0.3136 0.9681 [2 per cell]
11 O 0.1202 0.7760 0.3969 [2 per cell]
12 O 0.1352 0.4925 0.8286 [2 per cell]
13 O 0.1855 0.3024 0.0226 [2 per cell]
14 O 0.2156 0.4477 0.3312 [2 per cell]
15 O 0.2456 0.9461 0.8735 [2 per cell]
16 O 0.2592 0.5574 0.6256 [2 per cell]
17 O 0.2828 0.0519 0.1703 [2 per cell]
18 O 0.3147 0.2025 0.4772 [2 per cell]
19 O 0.3696 0.0149 0.6721 [2 per cell]
20 O 0.3726 0.7209 0.1020 [2 per cell]

Peak list (10 most intense, 2θ = 10–80°, low angle first)
| index | two_theta | Rel. int. |
| --- | --- | --- |
| 0 0 2 | 17.63 | 35 |
| 1 -1 0 | 18.50 | 39 |
| 1 0 -1 | 18.75 | 45 |
| 1 0 1 | 22.30 | 26 |
| 1 -1 2 | 25.65 | 34 |
| 0 1 -3 | 25.83 | 30 |
| 1 -2 1 | 26.62 | 100 |
| 0 2 0 | 26.83 | 100 |
| 1 0 -3 | 29.00 | 86 |
| 1 0 3 | 35.95 | 37 |